(1)
Starting from a DFT-relaxed cell (GGA-PBE, Alexandria), the PXRD pattern of La5Pm3Dy was calculated for Cu Kα (λ = 1.5418 Å).
Peak positions follow from Bragg's law for the DFT cell and can differ from measured ones.

Structural model:
```
La5Pm3Dy
1.0
-4.5438 4.5438 7.8063
4.5438 -4.5438 7.8063
4.5438 4.5438 -7.8063
La Pm Dy
10 6 2
Cartesian
0.0000 0.0000 0.0000
6.4372 1.8934 -2.1891
1.8934 2.6504 -2.1891
6.4372 1.8934 2.1891
1.8934 2.6504 2.1891
0.0000 0.0000 7.8063
2.6504 1.8934 5.6172
-1.8934 2.6504 5.6172
2.6504 1.8934 9.9953
-1.8934 2.6504 9.9953
3.4978 1.0460 0.0000
0.0000 0.0000 3.9031
3.4978 -1.0460 7.8063
1.0460 5.5898 0.0000
0.0000 0.0000 11.7094
1.0460 3.4978 7.8063
4.5438 0.0000 3.9031
0.0000 4.5438 3.9031
```

Top 10 peaks for 10 to 90 degrees two-theta, by intensity:
| 2theta | d [Å] | I/Imax |
| --- | --- | --- |
| 27.81 | 3.208 | 100 |
| 30.19 | 2.961 | 94 |
| 41.38 | 2.182 | 23 |
| 50.64 | 1.803 | 22 |
| 55.02 | 1.669 | 19 |
| 36.10 | 2.488 | 18 |
| 62.48 | 1.487 | 13 |
| 76.82 | 1.241 | 13 |
| 31.12 | 2.874 | 12 |
| 33.22 | 2.697 | 11 |

=====

(2)
Starting from a DFT-relaxed cell (GGA-PBE, Alexandria), the PXRD pattern of Fe5Ge was calculated for Cu Kα (λ = 1.5418 Å).
Peak positions follow from Bragg's law for the DFT cell and can differ from measured ones.

Structural model:
```
Fe5Ge
1.0
1.9710 -5.8958 0.0000
1.9710 5.8958 0.0000
0.0000 0.0000 3.0632
Fe Ge
5 1
Cartesian
0.0000 0.0000 0.0000
1.9710 3.9331 1.5316
1.9710 1.9804 0.0000
1.9710 -1.9804 0.0000
1.9710 -3.9331 1.5316
1.9710 0.0000 1.5316
```

Top 10 peaks for 10 to 90 degrees two-theta, by intensity:
| 2theta | d [Å] | I/Imax |
| --- | --- | --- |
| 43.95 | 2.060 | 100 |
| 46.05 | 1.971 | 22 |
| 46.19 | 1.965 | 21 |
| 83.80 | 1.154 | 13 |
| 84.01 | 1.152 | 13 |
| 67.28 | 1.392 | 13 |
| 60.44 | 1.532 | 9 |
| 79.20 | 1.209 | 8 |
| 79.31 | 1.208 | 8 |
| 15.03 | 5.896 | 1 |